# Pm3Dy
Simulated X-ray diffraction stick pattern, a wavelength of 1.5418 Å. Input: a GGA-PBE-relaxed structure.

Atomic structure:
```
Pm3Dy
1.0
5.1217 0.0000 0.0000
0.0000 5.1217 0.0000
0.0000 0.0000 5.1217
Pm Dy
3 1
Direct
0.0000 0.0000 0.5000 Pm
0.0000 0.5000 0.0000 Pm
0.5000 0.0000 0.0000 Pm
0.5000 0.5000 0.5000 Dy
```

Principal peaks in the range 2θ from 10° to 90°, sorted by position:
d (Å)  intensity
2.957  100
2.561  51
1.811  36
1.544  43
1.479  12
1.280  6
1.175  18
1.145  16

=====

# Pm3Dy8
Simulated X-ray diffraction stick pattern, a wavelength of 1.5418 Å. Input: a GGA-PBE-relaxed structure.

Atomic structure:
```
Pm3Dy8
1.0
1.7862 1.0312 31.9671
-1.7862 1.0312 31.9671
0.0000 -2.0625 31.9671
Pm Dy
3 8
Direct
0.0000 0.0000 0.0000 Pm
0.2721 0.2721 0.2721 Pm
0.7279 0.7279 0.7279 Pm
0.0918 0.0918 0.0918 Dy
0.1816 0.1816 0.1816 Dy
0.3639 0.3639 0.3639 Dy
0.4551 0.4551 0.4551 Dy
0.5449 0.5449 0.5449 Dy
0.6361 0.6361 0.6361 Dy
0.8184 0.8184 0.8184 Dy
0.9082 0.9082 0.9082 Dy
```

Principal peaks in the range 2θ from 10° to 90°, sorted by position:
d (Å)  intensity
2.916  100
2.906  33
2.523  67
1.786  24
1.782  23
1.522  43
1.519  14
1.458  13
1.159  12
1.129  11

=====

# Pm6Pr2Dy
Simulated X-ray diffraction stick pattern, a wavelength of 1.5418 Å. Input: a GGA-PBE-relaxed structure.

Atomic structure:
```
Pm6Pr2Dy
1.0
8.5183 -5.9297 0.0000
8.5183 5.9297 0.0000
-0.7413 0.0000 6.1088
Pm Pr Dy
12 4 2
Direct
0.0497 0.8268 0.9571 Pm
0.1601 0.3805 0.1225 Pm
0.1732 0.9503 0.5429 Pm
0.2873 0.5060 0.7146 Pm
0.3805 0.1601 0.6225 Pm
0.4940 0.7127 0.7854 Pm
0.5060 0.2873 0.2146 Pm
0.6195 0.8399 0.3775 Pm
0.7127 0.4940 0.2854 Pm
0.8268 0.0497 0.4571 Pm
0.8399 0.6195 0.8775 Pm
0.9503 0.1732 0.0429 Pm
0.0105 0.3179 0.5832 Pr
0.3179 0.0105 0.0832 Pr
0.6821 0.9895 0.9168 Pr
0.9895 0.6821 0.4168 Pr
0.3536 0.6464 0.2500 Dy
0.6464 0.3536 0.7500 Dy
```

Principal peaks in the range 2θ from 10° to 90°, sorted by position:
d (Å)  intensity
3.020  57
2.969  100
2.881  93
2.450  30
2.425  27
1.877  11
1.856  13
1.824  12
1.696  20
1.682  20

=====

# Pm3Pr3Dy4
Simulated X-ray diffraction stick pattern, a wavelength of 1.5418 Å. Input: a GGA-PBE-relaxed structure.

Atomic structure:
```
Pm3Pr3Dy4
1.0
3.7061 0.0000 0.0000
0.0000 6.8208 6.8286
0.0000 -6.8208 6.8286
Pm Pr Dy
3 3 4
Direct
0.0000 0.0000 0.0000 Pm
0.5000 0.3236 0.8256 Pm
0.5000 0.8256 0.3236 Pm
0.0000 0.1498 0.4997 Pr
0.0000 0.4997 0.1498 Pr
0.0000 0.6509 0.6509 Pr
0.5000 0.2008 0.2008 Dy
0.5000 0.4485 0.4485 Dy
0.5000 0.7036 0.9496 Dy
0.5000 0.9496 0.7036 Dy
```

Principal peaks in the range 2θ from 10° to 90°, sorted by position:
d (Å)  intensity
3.412  13
3.052  63
2.939  31
2.812  100
2.677  17
1.979  11
1.853  11
1.686  20
1.613  15
1.584  18

=====

# Pm7Pr2Dy4
Simulated X-ray diffraction stick pattern, a wavelength of 1.5418 Å. Input: a GGA-PBE-relaxed structure.

Atomic structure:
```
Pm7Pr2Dy4
1.0
6.2668 0.0000 0.0000
1.0408 8.0444 0.0000
1.0390 3.9417 8.6924
Pm Pr Dy
7 2 4
Direct
0.0000 0.0000 0.0000 Pm
0.0756 0.8448 0.6945 Pm
0.2318 0.5380 0.0769 Pm
0.3860 0.2296 0.4615 Pm
0.6140 0.7704 0.5385 Pm
0.7682 0.4620 0.9231 Pm
0.9244 0.1552 0.3055 Pm
0.1559 0.6927 0.3840 Pr
0.8441 0.3073 0.6160 Pr
0.3069 0.3823 0.7722 Dy
0.4628 0.0765 0.1517 Dy
0.5372 0.9235 0.8483 Dy
0.6931 0.6177 0.2278 Dy
```

Principal peaks in the range 2θ from 10° to 90°, sorted by position:
d (Å)  intensity
2.962  100
2.955  33
2.564  67
1.814  32
1.810  16
1.547  29
1.545  24
1.480  8
1.178  8
1.147  13

=====

# Pm6Pr5Dy2
Simulated X-ray diffraction stick pattern, a wavelength of 1.5418 Å. Input: a GGA-PBE-relaxed structure.

Atomic structure:
```
Pm6Pr5Dy2
1.0
11.8530 0.0000 0.0000
0.0000 21.0041 0.0000
0.0000 0.0000 3.6665
Pm Pr Dy
12 10 4
Direct
0.0631 0.0805 0.0000 Pm
0.0820 0.3681 0.0000 Pm
0.1746 0.6386 0.5000 Pm
0.3254 0.1386 0.5000 Pm
0.4180 0.8681 0.0000 Pm
0.4369 0.5805 0.0000 Pm
0.5631 0.4195 0.0000 Pm
0.5820 0.1319 0.0000 Pm
0.6746 0.8614 0.5000 Pm
0.8254 0.3614 0.5000 Pm
0.9180 0.6319 0.0000 Pm
0.9369 0.9195 0.0000 Pm
0.0000 0.5000 0.5000 Pr
0.0851 0.2267 0.5000 Pr
0.1973 0.9466 0.5000 Pr
0.3027 0.4466 0.5000 Pr
0.4149 0.7267 0.5000 Pr
0.5000 0.0000 0.5000 Pr
0.5851 0.2733 0.5000 Pr
0.6973 0.5534 0.5000 Pr
0.8027 0.0534 0.5000 Pr
0.9149 0.7733 0.5000 Pr
0.1708 0.7891 0.0000 Dy
0.3292 0.2891 0.0000 Dy
0.6708 0.7109 0.0000 Dy
0.8292 0.2109 0.0000 Dy
```

Principal peaks in the range 2θ from 10° to 90°, sorted by position:
d (Å)  intensity
2.934  52
2.911  100
2.849  88
2.680  36
2.620  16
2.508  37
1.833  18
1.801  15
1.555  18
1.551  16

=====

# Pm5Pr4Dy4
Simulated X-ray diffraction stick pattern, a wavelength of 1.5418 Å. Input: a GGA-PBE-relaxed structure.

Atomic structure:
```
Pm5Pr4Dy4
1.0
-6.5706 6.5706 2.5641
6.5706 -6.5706 2.5641
6.5706 6.5706 -2.5641
Pm Pr Dy
5 4 4
Direct
0.0000 0.0000 0.0000 Pm
0.3093 0.5401 0.8494 Pm
0.4599 0.3093 0.7691 Pm
0.5401 0.6907 0.2309 Pm
0.6907 0.4599 0.1506 Pm
0.0776 0.3822 0.4598 Pr
0.3822 0.9224 0.3045 Pr
0.6178 0.0776 0.6955 Pr
0.9224 0.6178 0.5402 Pr
0.1540 0.7692 0.9232 Dy
0.2308 0.1540 0.3848 Dy
0.7692 0.8460 0.6152 Dy
0.8460 0.2308 0.0768 Dy
```

Principal peaks in the range 2θ from 10° to 90°, sorted by position:
d (Å)  intensity
2.971  100
2.577  34
2.564  17
1.822  12
1.818  24
1.553  29
1.548  14
1.485  12
1.182  6
1.180  12

=====

# Pm3Pr3Dy2
Simulated X-ray diffraction stick pattern, a wavelength of 1.5418 Å. Input: a GGA-PBE-relaxed structure.

Atomic structure:
```
Pm3Pr3Dy2
1.0
5.8892 0.0000 0.0000
0.0000 14.7738 0.0000
0.0000 0.0000 6.3746
Pm Pr Dy
6 6 4
Direct
0.2500 0.1251 0.1680 Pm
0.2500 0.3749 0.1680 Pm
0.2500 0.7500 0.6621 Pm
0.7500 0.2500 0.3379 Pm
0.7500 0.6251 0.8320 Pm
0.7500 0.8749 0.8320 Pm
0.2500 0.0000 0.6682 Pr
0.2500 0.2500 0.6715 Pr
0.2500 0.5000 0.6682 Pr
0.7500 0.0000 0.3318 Pr
0.7500 0.5000 0.3318 Pr
0.7500 0.7500 0.3285 Pr
0.2500 0.6259 0.1634 Dy
0.2500 0.8741 0.1634 Dy
0.7500 0.1259 0.8366 Dy
0.7500 0.3741 0.8366 Dy
```

Principal peaks in the range 2θ from 10° to 90°, sorted by position:
d (Å)  intensity
3.193  23
2.945  25
2.807  100
2.165  16
1.847  7
1.842  13
1.672  21
1.565  8
1.562  15
1.542  11

=====

# PmPrDy5
Simulated X-ray diffraction stick pattern, a wavelength of 1.5418 Å. Input: a GGA-PBE-relaxed structure.

Atomic structure:
```
PmPrDy5
1.0
5.8801 -3.4155 0.0000
5.8801 3.4155 0.0000
-4.0319 0.0000 11.5183
Pm Pr Dy
2 2 10
Direct
0.0262 0.9738 0.7500 Pm
0.9738 0.0262 0.2500 Pm
0.0000 0.5000 0.0000 Pr
0.5000 0.0000 0.5000 Pr
0.1385 0.4193 0.7466 Dy
0.1972 0.6507 0.5015 Dy
0.3493 0.8028 0.9985 Dy
0.4144 0.5856 0.2500 Dy
0.4193 0.1385 0.2466 Dy
0.5807 0.8615 0.7534 Dy
0.5856 0.4144 0.7500 Dy
0.6507 0.1972 0.0015 Dy
0.8028 0.3493 0.4985 Dy
0.8615 0.5807 0.2534 Dy
```

Principal peaks in the range 2θ from 10° to 90°, sorted by position:
d (Å)  intensity
2.939  100
2.916  47
2.903  13
2.880  59
2.775  16
2.711  26
2.540  22
1.969  12
1.634  14
1.628  20

=====

# Pm8PrDy4
Simulated X-ray diffraction stick pattern, a wavelength of 1.5418 Å. Input: a GGA-PBE-relaxed structure.

Atomic structure:
```
Pm8PrDy4
1.0
6.6578 0.0000 0.0000
3.2607 6.1283 0.0000
1.5460 1.1090 10.8993
Pm Pr Dy
8 1 4
Direct
0.0000 0.0000 0.0000 Pm
0.0074 0.3371 0.7338 Pm
0.1155 0.8017 0.6670 Pm
0.4713 0.9938 0.1492 Pm
0.5032 0.5212 0.0817 Pm
0.5735 0.2224 0.5868 Pm
0.6721 0.6898 0.4741 Pm
0.9929 0.5071 0.0975 Pm
0.7505 0.1974 0.3049 Pr
0.1857 0.1828 0.4266 Dy
0.1951 0.6827 0.3518 Dy
0.4480 0.3456 0.8627 Dy
0.5593 0.8275 0.8219 Dy
```

Principal peaks in the range 2θ from 10° to 90°, sorted by position:
d (Å)  intensity
3.338  19
2.987  27
2.961  28
2.930  20
2.899  22
2.886  39
2.864  100
2.857  42
2.781  32
2.547  19

=====

# PmPr3Dy3
Simulated X-ray diffraction stick pattern, a wavelength of 1.5418 Å. Input: a GGA-PBE-relaxed structure.

Atomic structure:
```
PmPr3Dy3
1.0
9.7406 0.0000 0.0000
-4.8703 8.4356 0.0000
0.0000 0.0000 5.8368
Pm Pr Dy
2 6 6
Direct
0.3333 0.6667 0.2500 Pm
0.6667 0.3333 0.7500 Pm
0.0954 0.6221 0.7500 Pr
0.3779 0.4734 0.7500 Pr
0.4734 0.0954 0.2500 Pr
0.5266 0.9046 0.7500 Pr
0.6221 0.5266 0.2500 Pr
0.9046 0.3779 0.2500 Pr
0.0454 0.8129 0.2500 Dy
0.1871 0.2326 0.2500 Dy
0.2326 0.0454 0.7500 Dy
0.7674 0.9546 0.2500 Dy
0.8129 0.7674 0.7500 Dy
0.9546 0.1871 0.7500 Dy
```

Principal peaks in the range 2θ from 10° to 90°, sorted by position:
d (Å)  intensity
3.188  24
2.918  25
2.798  100
2.153  16
1.841  20
1.661  21
1.557  23
1.538  16
1.180  14
1.144  8

=====

# Pm7PrDy3
Simulated X-ray diffraction stick pattern, a wavelength of 1.5418 Å. Input: a GGA-PBE-relaxed structure.

Atomic structure:
```
Pm7PrDy3
1.0
7.2088 0.0000 0.0000
-3.6044 6.2430 0.0000
0.0000 0.0000 8.6886
Pm Pr Dy
7 1 3
Direct
0.0000 0.0000 0.0000 Pm
0.1661 0.3322 0.3327 Pm
0.1661 0.8339 0.3327 Pm
0.5004 0.0008 0.9867 Pm
0.5004 0.4996 0.9867 Pm
0.6678 0.8339 0.3327 Pm
0.9992 0.4996 0.9867 Pm
0.6667 0.3333 0.3190 Pr
0.3327 0.1663 0.6605 Dy
0.8337 0.1663 0.6605 Dy
0.8337 0.6673 0.6605 Dy
```

Principal peaks in the range 2θ from 10° to 90°, sorted by position:
d (Å)  intensity
2.938  100
2.896  32
2.535  66
1.802  24
1.783  23
1.536  14
1.530  28
1.518  13
1.469  12
1.169  12